Starting from the GGA-PBE geometry in the Materials Project, the X-ray diffraction stick pattern of TbGePd was computed for Cu Ka.

Crystal structure
a = 10.4355 Å, b = 4.4019 Å, c = 7.0612 Å
α = 90.00°, β = 132.10°, γ = 90.00°
Element x y z (fractional)
Tb (0.0421, 0.0000, 0.3019)
Tb (0.4579, 0.5000, 0.6981)
Tb (0.5421, 0.5000, 0.3019)
Tb (0.9579, 0.0000, 0.6981)
Ge (0.1600, 0.5000, 0.1074)
Ge (0.3400, 0.0000, 0.8926)
Ge (0.6600, 0.0000, 0.1074)
Ge (0.8400, 0.5000, 0.8926)
Pd (0.1787, 0.5000, 0.7274)
Pd (0.3213, 0.0000, 0.2726)
Pd (0.6787, 0.0000, 0.7274)
Pd (0.8213, 0.5000, 0.2726)

Largest 12 diffraction maxima, by angle, 2θ = 5–70°:
23.2°, I = 17, hkl 1 1 0
33.3°, I = 50, hkl 1 1 1
34.2°, I = 36, hkl 0 0 2
34.5°, I = 100, hkl 4 0 -2
34.6°, I = 92, hkl 3 1 -2
39.9°, I = 20, hkl 2 0 -3
40.5°, I = 85, hkl 3 1 0
41.0°, I = 57, hkl 0 2 0
54.5°, I = 19, hkl 0 2 2
54.7°, I = 20, hkl 4 2 -2
65.7°, I = 21, hkl 1 1 3
68.0°, I = 20, hkl 7 1 -4